Structure and calculated X-ray powder pattern of Ba2CaCuMo2F14 (a cell relaxed with PBE+U; Cu Kα).

a = 14.359 Å, b = 5.535 Å, c = 15.529 Å
α = 90.00°, β = 90.29°, γ = 90.00°
Space group C2/c (No. 15)
Inequivalent atoms, fractional coordinates:
1 Ba 0.183 0.090 0.125 [8 per cell]
2 Ca 0.000 0.417 0.750 [4 per cell]
3 Cu 0.000 0.500 0.000 [4 per cell]
4 Mo 0.122 0.035 0.375 [8 per cell]
5 F 0.012 0.087 0.657 [8 per cell]
6 F 0.042 0.427 0.114 [8 per cell]
7 F 0.083 0.224 0.489 [8 per cell]
8 F 0.116 0.306 0.280 [8 per cell]
9 F 0.147 0.254 0.960 [8 per cell]
10 F 0.164 0.194 0.775 [8 per cell]
11 F 0.241 0.370 0.602 [8 per cell]

Main lines, by intensity (15° ≤ 2θ ≤ 90°):
two_theta	intensity
24.59	1000
28.77	726
27.16	337
22.91	326
53.52	274
46.80	186
39.46	185
17.17	180
25.28	161
40.01	156
26.04	156
33.92	153